Entry 1:
Diffraction record for SmNiBi. The powder diffraction line list is calculated, not measured: it uses a PBE-relaxed structure and λ = 1.5418 Å (Cu Kα).

Most intense lines, 2θ from 15° to 90°, in order of falling intensity:
Position (°2θ), Rel. int., h k l
38.77, 100.0, 2 2 0
27.15, 60.0, 2 0 0
70.18, 35.1, 4 2 2
63.31, 23.8, 4 2 0
47.97, 17.7, 2 2 2
55.99, 17.2, 4 0 0
89.51, 12.8, 6 0 0
83.18, 11.3, 4 4 0
23.45, 10.1, 1 1 1
45.81, 5.3, 3 1 1

Crystal structure
```
data_SmNiBi
_cell_length_a 6.5698
_cell_length_b 6.5698
_cell_length_c 6.5698
_cell_angle_alpha 90.00
_cell_angle_beta 90.00
_cell_angle_gamma 90.00
_symmetry_space_group_name_H-M 'F -4 3 m'
_symmetry_Int_Tables_number 216
_symmetry_space_group_name_Hall 'F -4 2 3'
loop_
_atom_site_label
_atom_site_fract_x
_atom_site_fract_y
_atom_site_fract_z
Sm1 0.0000 0.0000 0.0000
Ni1 0.2500 0.2500 0.2500
Bi1 0.0000 0.0000 0.5000
```


Entry 2:
Diffraction record for SmNi2Bi2. The powder diffraction line list is calculated, not measured: it uses a PBE-relaxed structure and λ = 1.5418 Å (Cu Kα).

Most intense lines, 2θ from 15° to 90°, in order of falling intensity:
Position (°2θ), Rel. int., h k l
32.49, 100.0, 1 1 2
38.81, 85.3, 2 0 0
32.74, 61.0, 1 0 3
28.59, 52.3, 1 1 1
45.15, 39.6, 1 1 4
51.66, 33.9, 2 1 3
56.06, 29.4, 2 2 0
64.14, 28.9, 2 1 5
66.31, 25.8, 3 1 2
74.73, 23.2, 0 0 8

Crystal structure
```
data_SmNi2Bi2
_cell_length_a 4.6401
_cell_length_b 4.6401
_cell_length_c 10.1581
_cell_angle_alpha 90.00
_cell_angle_beta 90.00
_cell_angle_gamma 90.00
_symmetry_space_group_name_H-M 'P 4/n m m'
_symmetry_Int_Tables_number 129
loop_
_symmetry_equiv_pos_as_xyz
'x,y,z'
'-x,-y,-z'
'-y+1/2,x,z'
'y+1/2,-x,-z'
'-x+1/2,-y+1/2,z'
'x+1/2,y+1/2,-z'
'y,-x+1/2,z'
'-y,x+1/2,-z'
'x+1/2,-y,-z'
'-x+1/2,y,z'
'-y,-x,-z'
'y,x,z'
'-x,y+1/2,-z'
'x,-y+1/2,z'
'y+1/2,x+1/2,-z'
'-y+1/2,-x+1/2,z'
loop_
_atom_site_label
_atom_site_fract_x
_atom_site_fract_y
_atom_site_fract_z
Sm1 0.2500 0.2500 0.2301
Ni1 0.2500 0.2500 0.6251
Ni2 0.2500 0.7500 0.0000
Bi1 0.2500 0.2500 0.8745
Bi2 0.2500 0.7500 0.5000
```


Entry 3:
Diffraction record for TbNiBi. The powder diffraction line list is calculated, not measured: it uses a PBE-relaxed structure and λ = 1.5418 Å (Cu Kα).

Most intense lines, 2θ from 15° to 90°, in order of falling intensity:
Position (°2θ), Rel. int., h k l
39.25, 100.0, 2 2 0
27.48, 61.1, 2 0 0
71.15, 35.0, 4 2 2
64.16, 24.1, 4 2 0
48.58, 18.0, 2 2 2
56.72, 17.2, 4 0 0
84.41, 11.3, 4 4 0
23.74, 8.8, 1 1 1
46.39, 4.5, 3 1 1
62.35, 1.9, 3 3 1

Crystal structure
```
data_TbNiBi
_cell_length_a 6.4917
_cell_length_b 6.4917
_cell_length_c 6.4917
_cell_angle_alpha 90.00
_cell_angle_beta 90.00
_cell_angle_gamma 90.00
_symmetry_space_group_name_H-M 'F -4 3 m'
_symmetry_Int_Tables_number 216
_symmetry_space_group_name_Hall 'F -4 2 3'
loop_
_atom_site_label
_atom_site_fract_x
_atom_site_fract_y
_atom_site_fract_z
Tb1 0.0000 0.0000 0.0000
Ni1 0.2500 0.2500 0.2500
Bi1 0.0000 0.0000 0.5000
```


Entry 4:
Diffraction record for Tb5Ni2Bi. The powder diffraction line list is calculated, not measured: it uses a PBE-relaxed structure and λ = 1.5418 Å (Cu Kα).

Most intense lines, 2θ from 15° to 90°, in order of falling intensity:
Position (°2θ), Rel. int., h k l
32.60, 100.0, 2 1 3
36.85, 91.0, 3 1 0
35.16, 58.7, 2 0 4
30.96, 58.4, 1 1 4
26.66, 36.1, 2 1 1
57.46, 32.1, 3 3 4
67.03, 29.3, 3 1 8
42.27, 22.9, 2 1 5
54.70, 22.3, 4 0 4
32.85, 21.4, 2 2 0

Crystal structure
```
data_Tb5Ni2Bi
_cell_length_a 7.7126
_cell_length_b 7.7126
_cell_length_c 13.6223
_cell_angle_alpha 90.00
_cell_angle_beta 90.00
_cell_angle_gamma 90.00
_symmetry_space_group_name_H-M 'I 4/m c m'
_symmetry_Int_Tables_number 140
_symmetry_space_group_name_Hall '-I 4 2c'
loop_
_atom_site_label
_atom_site_fract_x
_atom_site_fract_y
_atom_site_fract_z
Tb1 0.0000 0.0000 0.0000
Tb2 0.1563 0.3437 0.1336
Ni1 0.1331 0.3669 0.5000
Bi1 0.0000 0.0000 0.2500
```


Entry 5:
Diffraction record for Ti4NiBi2. The powder diffraction line list is calculated, not measured: it uses a PBE-relaxed structure and λ = 1.5418 Å (Cu Kα).

Most intense lines, 2θ from 15° to 90°, in order of falling intensity:
Position (°2θ), Rel. int., h k l
26.35, 100.0, 2 1 1
35.69, 71.6, 3 2 1
26.45, 36.6, 3 1 0
49.85, 31.8, 5 2 1
39.60, 28.1, 4 1 1
51.22, 27.0, 4 0 2
33.65, 22.9, 4 0 0
37.45, 21.2, 0 0 2
52.74, 16.4, 3 3 2
74.32, 15.6, 7 1 2

Crystal structure
```
data_Ti4NiBi2
_cell_length_a 10.6547
_cell_length_b 10.6547
_cell_length_c 4.8025
_cell_angle_alpha 90.00
_cell_angle_beta 90.00
_cell_angle_gamma 90.00
_symmetry_space_group_name_H-M 'I 4/m c m'
_symmetry_Int_Tables_number 140
_symmetry_space_group_name_Hall '-I 4 2c'
loop_
_atom_site_label
_atom_site_fract_x
_atom_site_fract_y
_atom_site_fract_z
Ti1 0.0814 0.1967 0.0000
Ni1 0.0000 0.0000 0.2500
Bi1 0.1395 0.3605 0.5000
```


Entry 6:
Diffraction record for Y5Ni2Bi. The powder diffraction line list is calculated, not measured: it uses a PBE-relaxed structure and λ = 1.5418 Å (Cu Kα).

Most intense lines, 2θ from 15° to 90°, in order of falling intensity:
Position (°2θ), Rel. int., h k l
36.85, 100.0, 3 1 0
32.57, 95.5, 2 1 3
35.11, 61.1, 2 0 4
30.90, 60.4, 1 1 4
20.85, 31.9, 1 1 2
66.91, 30.5, 3 1 8
32.84, 25.7, 2 2 0
57.43, 25.6, 3 3 4
42.21, 19.0, 2 1 5
54.67, 18.0, 4 0 4

Crystal structure
```
data_Y5Ni2Bi
_cell_length_a 7.7135
_cell_length_b 7.7135
_cell_length_c 13.6533
_cell_angle_alpha 90.00
_cell_angle_beta 90.00
_cell_angle_gamma 90.00
_symmetry_space_group_name_H-M 'I 4/m c m'
_symmetry_Int_Tables_number 140
_symmetry_space_group_name_Hall '-I 4 2c'
loop_
_atom_site_label
_atom_site_fract_x
_atom_site_fract_y
_atom_site_fract_z
Y1 0.0000 0.0000 0.0000
Y2 0.1550 0.3450 0.1362
Ni1 0.1319 0.3681 0.5000
Bi1 0.0000 0.0000 0.2500
```